# LaPr2In6
Theoretical PXRD pattern, Cu Kα X-rays. Input: a structure optimized by DFT (GGA-PBE).
Neutral-atom scattering factors, no anomalous dispersion.

Principal peaks in the range 10 to 90 degrees two-theta, by angle:
d = 2.861 Å, rel. 100, (1 1 1)
d = 2.518 Å, rel. 74, (3 0 0)
d = 1.890 Å, rel. 30, (2 2 1)
d = 1.514 Å, rel. 30, (3 0 2)
d = 1.511 Å, rel. 28, (4 1 1)
d = 1.454 Å, rel. 13, (3 3 0)
d = 1.153 Å, rel. 12, (3 3 2)
d = 1.152 Å, rel. 12, (5 2 1)

Structural model:
Cell lengths 8.7212, 8.7212, 3.7911 Å; angles 90.00, 90.00, 120.00 degrees
Space group P6/mmm (No. 191)
Asymmetric unit:
La (0.0000, 0.0000, 0.0000)
Pr (0.3333, 0.6667, 0.0000)
In (0.0000, 0.3341, 0.5000)



# Cs3H4Se
Theoretical PXRD pattern, Cu Kα X-rays. Input: a structure optimized by DFT (GGA-PBE).
Neutral-atom scattering factors, no anomalous dispersion.

Principal peaks in the range 10 to 90 degrees two-theta, by angle:
d = 4.571 Å, rel. 60, (1 1 0)
d = 4.505 Å, rel. 47, (2 0 1)
d = 4.478 Å, rel. 51, (4 0 -1)
d = 3.477 Å, rel. 91, (1 1 1)
d = 3.368 Å, rel. 43, (6 0 0)
d = 3.013 Å, rel. 53, (2 0 -2)
d = 2.992 Å, rel. 100, (3 1 1)
d = 2.981 Å, rel. 96, (5 1 -1)

Structural model:
Cell lengths 21.055, 4.693, 6.026 Å; angles 90.00, 106.29, 90.00 degrees
Space group C2/m (No. 12)
Asymmetric unit:
Cs (0.000, 0.000, 0.000)
Cs (0.139, 0.000, 0.637)
H (0.089, 0.500, 0.259)
H (0.117, 0.500, 0.196)
Se (0.000, 0.500, 0.500)



# HgGePb
Theoretical PXRD pattern, Cu Kα X-rays. Input: a structure optimized by DFT (GGA-PBE).
Neutral-atom scattering factors, no anomalous dispersion.

Principal peaks in the range 10 to 90 degrees two-theta, by angle:
d = 3.047 Å, rel. 31, (1 1 1)
d = 2.982 Å, rel. 48, (2 0 -2)
d = 2.955 Å, rel. 100, (3 1 0)
d = 2.925 Å, rel. 24, (0 0 2)
d = 2.834 Å, rel. 42, (3 1 -1)
d = 2.675 Å, rel. 29, (4 0 1)
d = 2.346 Å, rel. 32, (6 0 -1)
d = 2.226 Å, rel. 35, (1 1 2)

Structural model:
Cell lengths 14.211, 3.870, 6.054 Å; angles 90.00, 104.92, 90.00 degrees
Space group C2/m (No. 12)
Asymmetric unit:
Hg (0.040, 0.000, 0.274)
Ge (0.204, 0.500, 0.368)
Pb (0.150, 0.500, 0.842)